For AlH3O3, a DFT-relaxed cell (GGA-PBE, the Materials Project) gives the calculated powder diffractogram in this record (Cu Kα (weighted mean of Kα1 and Kα2)).

Peak list (10 most intense, 10 to 80 degrees two-theta, low angle first)
(0 0 2), 18.04°, 4.917 Å, I 100
(1 1 0), 19.89°, 4.464 Å, I 41
(2 0 0), 20.06°, 4.426 Å, I 22
(0 2 1), 35.92°, 2.500 Å, I 14
(3 1 1), 36.95°, 2.432 Å, I 24
(3 1 -3), 43.02°, 2.102 Å, I 18
(3 1 -4), 49.26°, 1.850 Å, I 14
(0 2 4), 51.28°, 1.781 Å, I 16
(3 1 4), 53.70°, 1.707 Å, I 14
(3 3 0), 62.40°, 1.488 Å, I 13

```
data_AlH3O3
_space_group_name_H-M_alt 'P 1 21 1'
_space_group_IT_number 4
_cell_length_a 8.8891
_cell_length_b 5.1702
_cell_length_c 9.8763
_cell_angle_alpha 90.00
_cell_angle_beta 95.31
_cell_angle_gamma 90.00
loop_
_space_group_symop_operation_xyz
'x,y,z'
'-x,y+1/2,-z'
loop_
_atom_site_label
_atom_site_fract_x
_atom_site_fract_y
_atom_site_fract_z
Al1 0.0750 0.0000 0.2552
Al2 0.0875 0.9907 0.7477
Al3 0.4128 0.9715 0.2502
Al4 0.4223 0.9793 0.7455
H1 0.0426 0.6920 0.5416
H2 0.0480 0.3046 0.0488
H3 0.1672 0.6172 0.3724
H4 0.1802 0.3859 0.8595
H5 0.1967 0.7755 0.0717
H6 0.2344 0.0879 0.5482
H7 0.2898 0.2958 0.3710
H8 0.2981 0.7602 0.9281
H9 0.3226 0.3665 0.1309
H10 0.3310 0.5686 0.6406
H11 0.4529 0.6688 0.4570
H12 0.4577 0.2840 0.9531
O1 0.0465 0.3049 0.1480
O2 0.0488 0.6907 0.6417
O3 0.0662 0.6920 0.3623
O4 0.0813 0.3026 0.8552
O5 0.2269 0.8611 0.1564
O6 0.2453 0.1126 0.6475
O7 0.2643 0.1126 0.3592
O8 0.2681 0.8577 0.8477
O9 0.4222 0.2865 0.1445
O10 0.4276 0.6597 0.6429
O11 0.4376 0.6585 0.3568
O12 0.4606 0.2824 0.8540
```